Simulated XRD peak list
Compound: CsThTlO4
Radiation: Cu Kα
Structure: DFT lattice parameters and positions (PBE)

Main lines, low angle first (2θ from 15° to 90°):
d 3.309, 2θ 26.95, I 442
d 3.275, 2θ 27.23, I 675
d 3.165, 2θ 28.19, I 1000
d 3.094, 2θ 28.85, I 804
d 3.079, 2θ 29.00, I 880
d 2.988, 2θ 29.90, I 555
d 2.572, 2θ 34.89, I 381
d 2.003, 2θ 45.26, I 338
d 1.967, 2θ 46.16, I 338
d 1.884, 2θ 48.30, I 878

Crystal structure
a b c (Å): 7.5615 7.5615 7.5615
angles (deg): 124.01 120.86 85.85
Positions (direct):
Cs  0.3910  0.1410  0.2500
Cs  0.6090  0.8590  0.7500
Th  0.0000  0.5000  0.5000
Th  0.5000  0.5000  0.0000
Tl  0.0000  0.0000  0.5000
Tl  0.0000  0.5000  0.0000
O  0.1596  0.7186  0.4410
O  0.2224  0.2814  0.9410
O  0.2405  0.2991  0.5585
O  0.2405  0.6820  0.9415
O  0.7595  0.3180  0.0585
O  0.7595  0.7009  0.4415
O  0.7776  0.7186  0.0590
O  0.8404  0.2814  0.5590